Diffraction record for GaAg3Au5. The XRD peak list is simulated, not measured: it uses a crystal structure in Alexandria, relaxed with PBE and Cu Kα, 1.54184 Å.

Largest 12 diffraction maxima, in order of rising 2θ, 2θ from 15° to 90°:
2θ (°)	I_rel	hkl
34.29	97	2 1 3
34.76	52	2 2 0
36.87	100	2 0 4
39.02	32	3 1 0
41.34	13	0 0 6
45.33	13	3 2 1
52.13	17	4 1 1
56.07	40	0 0 8
63.70	12	4 2 4
67.72	14	2 2 8
72.00	12	5 1 4
73.64	17	4 1 7

Crystal structure
Cell lengths 7.299, 7.299, 13.105 Å; angles 90.00, 90.00, 90.00 degrees
Space group I4/mcm (No. 140)
Symmetry-distinct sites (fractional):
Ga  0.000  0.500  0.250 [4 per cell]
Ag  0.000  0.000  0.250 [4 per cell]
Ag  0.124  0.376  0.000 [8 per cell]
Au  0.000  0.000  0.000 [4 per cell]
Au  0.197  0.303  0.355 [16 per cell]